Record 1
NaLa4Te6: simulated powder XRD pattern (Cu Kα (weighted mean of Kα1 and Kα2)), based on a GGA-PBE-relaxed structure.
No peak broadening, texture or thermal motion is included.

Top 10 peaks for 2θ from 5° to 70°, most intense first:
(hkl), 2θ/deg, Rel. int.
2 2 1, 34.36, 1000
2 2 0, 29.73, 860
0 4 0, 40.06, 698
2 2 -1, 28.03, 630
2 0 2, 35.64, 599
0 0 3, 29.38, 482
4 0 1, 50.45, 411
2 4 2, 54.68, 338
2 0 1, 27.85, 304
2 0 -2, 22.02, 291

Atomic structure:
Cell: 9.002 9.004 10.168 Å, 90.00 116.24 90.00°
Space group Cm (No. 8)
Inequivalent atoms, fractional coordinates:
Na (0.000, 0.000, 0.000)
La (0.099, 0.500, 0.722)
La (0.124, 0.000, 0.721)
La (0.140, 0.263, 0.279)
Te (0.251, 0.250, 0.000)
Te (0.322, 0.260, 0.642)
Te (0.419, 0.000, 0.358)
Te (0.440, 0.500, 0.357)

=====

Record 2
Na2PuAlH8: simulated powder XRD pattern (Cu Kα (weighted mean of Kα1 and Kα2)), based on a GGA-PBE-relaxed structure.
No peak broadening, texture or thermal motion is included.

Top 10 peaks for 2θ from 5° to 70°, most intense first:
(hkl), 2θ/deg, Rel. int.
0 1 0, 15.61, 1000
0 0 1, 15.38, 830
1 -1 0, 30.23, 770
0 1 2, 34.77, 563
0 1 1, 21.90, 439
0 1 -1, 22.06, 437
0 2 0, 31.52, 371
1 0 0, 25.72, 336
0 1 -2, 35.03, 281
1 1 1, 30.59, 238

Atomic structure:
Cell: 3.597 5.676 5.983 Å, 89.58 74.37 89.90°
Space group P-1 (No. 2)
Inequivalent atoms, fractional coordinates:
Na (0.128, 0.002, 0.224)
Pu (0.500, 0.500, 0.500)
Al (0.500, 0.500, 0.000)
H (0.000, 0.251, 0.501)
H (0.119, 0.501, 0.248)
H (0.347, 0.272, 0.839)
H (0.348, 0.726, 0.835)

=====

Record 3
Li2InP2O8: simulated powder XRD pattern (Cu Kα (weighted mean of Kα1 and Kα2)), based on a GGA-PBE-relaxed structure.
No peak broadening, texture or thermal motion is included.

Top 10 peaks for 2θ from 5° to 70°, most intense first:
(hkl), 2θ/deg, Rel. int.
0 1 1, 15.62, 1000
1 0 -2, 22.75, 578
0 2 2, 31.54, 459
1 1 1, 29.28, 448
1 2 0, 29.05, 322
1 2 -4, 47.56, 263
1 0 0, 19.84, 197
1 1 -1, 20.75, 194
1 1 0, 22.48, 174
2 1 -1, 37.96, 169

Atomic structure:
Cell: 5.018 8.462 8.575 Å, 90.00 116.92 90.00°
Space group P2_1/c (No. 14)
Inequivalent atoms, fractional coordinates:
Li (0.065, 0.123, 0.162)
In (0.000, 0.000, 0.500)
P (0.338, 0.663, 0.741)
O (0.182, 0.674, 0.207)
O (0.238, 0.557, 0.851)
O (0.258, 0.572, 0.569)
O (0.316, 0.185, 0.663)

=====

Record 4
Er2PuHfAs4: simulated powder XRD pattern (Cu Kα (weighted mean of Kα1 and Kα2)), based on a GGA-PBE-relaxed structure.
No peak broadening, texture or thermal motion is included.

Top 10 peaks for 2θ from 5° to 70°, most intense first:
(hkl), 2θ/deg, Rel. int.
1 1 1, 31.44, 1000
3 1 -1, 45.09, 495
0 0 2, 27.14, 322
2 2 -2, 55.98, 261
0 2 0, 45.02, 248
1 1 3, 53.37, 108
2 2 2, 65.57, 81
2 0 -4, 53.48, 54
4 0 -4, 65.77, 40
1 0 0, 13.47, 21

Atomic structure:
Cell: 6.964 4.023 6.965 Å, 90.00 109.27 90.00°
Space group P2/m (No. 10)
Inequivalent atoms, fractional coordinates:
Er (0.000, 0.000, 0.000)
Er (0.000, 0.500, 0.500)
Pu (0.500, 0.000, 0.500)
Hf (0.500, 0.500, 0.000)
As (0.255, 0.500, 0.242)
As (0.260, 0.000, 0.762)

=====

Record 5
CsSb2Cl8: simulated powder XRD pattern (Cu Kα (weighted mean of Kα1 and Kα2)), based on a GGA-PBE-relaxed structure.
No peak broadening, texture or thermal motion is included.

Top 10 peaks for 2θ from 5° to 70°, most intense first:
(hkl), 2θ/deg, Rel. int.
2 0 0, 20.52, 1000
0 2 1, 20.99, 663
2 4 0, 32.94, 602
2 2 1, 29.50, 402
1 5 1, 37.83, 390
0 0 2, 33.68, 382
3 1 1, 35.92, 374
1 3 2, 40.41, 316
3 3 2, 50.58, 307
0 0 1, 16.65, 229

Atomic structure:
Cell: 8.668 13.965 5.323 Å, 90.00 90.00 90.00°
Space group Cmmm (No. 65)
Inequivalent atoms, fractional coordinates:
Cs (0.000, 0.000, 0.000)
Sb (0.000, 0.287, 0.500)
Cl (0.000, 0.259, 0.000)
Cl (0.000, 0.500, 0.249)
Cl (0.186, 0.141, 0.500)

=====

Record 6
Er2TmZn3: simulated powder XRD pattern (Cu Kα (weighted mean of Kα1 and Kα2)), based on a GGA-PBE-relaxed structure.
No peak broadening, texture or thermal motion is included.

Top 8 peaks for 2θ from 5° to 70°, most intense first:
(hkl), 2θ/deg, Rel. int.
1 1 0, 35.95, 1000
3 0 0, 64.66, 266
0 1 2, 25.21, 195
0 2 4, 51.75, 176
0 1 8, 64.52, 89
1 2 2, 58.41, 83
2 0 2, 44.44, 44
0 0 6, 44.33, 15

Atomic structure:
Cell: 4.9920 4.9920 12.2592 Å, 90.00 90.00 120.00°
Space group P-3m1 (No. 164)
Inequivalent atoms, fractional coordinates:
Er (0.0000, 0.0000, 0.0000)
Er (0.0000, 0.0000, 0.5000)
Er (0.3333, 0.6667, 0.1674)
Tm (0.3333, 0.6667, 0.6669)
Zn (0.0000, 0.0000, 0.2504)
Zn (0.3333, 0.6667, 0.4171)
Zn (0.3333, 0.6667, 0.9168)

=====

Record 7
Tl3Bi: simulated powder XRD pattern (Cu Kα (weighted mean of Kα1 and Kα2)), based on a GGA-PBE-relaxed structure.
No peak broadening, texture or thermal motion is included.

Top 8 peaks for 2θ from 5° to 70°, most intense first:
(hkl), 2θ/deg, Rel. int.
1 1 2, 30.92, 1000
2 0 0, 34.87, 366
3 1 2, 60.08, 313
2 0 4, 52.34, 236
0 0 4, 37.76, 148
2 2 0, 50.14, 134
1 1 6, 63.96, 130
2 2 4, 64.44, 127

Atomic structure:
Cell: 5.146 5.146 9.529 Å, 90.00 90.00 90.00°
Space group I4/mmm (No. 139)
Inequivalent atoms, fractional coordinates:
Tl (0.000, 0.000, 0.000)
Tl (0.000, 0.500, 0.250)
Bi (0.000, 0.000, 0.500)

=====

Record 8
Th2Se5: simulated powder XRD pattern (Cu Kα (weighted mean of Kα1 and Kα2)), based on a GGA-PBE-relaxed structure.
No peak broadening, texture or thermal motion is included.

Top 10 peaks for 2θ from 5° to 70°, most intense first:
(hkl), 2θ/deg, Rel. int.
3 2 1, 39.23, 1000
1 2 1, 22.76, 458
0 0 2, 22.15, 390
2 0 2, 31.52, 373
0 4 2, 40.33, 277
5 2 1, 61.35, 241
0 4 0, 33.27, 196
1 3 1, 29.43, 179
1 4 1, 36.94, 170
2 4 4, 62.15, 164

Atomic structure:
Cell: 8.024 10.773 8.030 Å, 90.00 90.00 90.00°
Space group Pbcn (No. 60)
Inequivalent atoms, fractional coordinates:
Th (0.240, 0.147, 0.010)
Se (0.000, 0.250, 0.750)
Se (0.112, 0.397, 0.139)
Se (0.131, 0.107, 0.382)

=====

Record 9
ZnCdTeO: simulated powder XRD pattern (Cu Kα (weighted mean of Kα1 and Kα2)), based on a GGA-PBE-relaxed structure.
No peak broadening, texture or thermal motion is included.

Top 10 peaks for 2θ from 5° to 70°, most intense first:
(hkl), 2θ/deg, Rel. int.
1 3 0, 30.70, 1000
0 2 1, 31.49, 595
1 1 -1, 33.63, 311
1 5 -1, 48.20, 224
1 1 1, 40.67, 184
0 6 0, 41.33, 178
2 0 0, 46.50, 171
1 5 1, 53.67, 160
2 2 -1, 52.03, 138
0 4 1, 39.67, 130

Atomic structure:
Cell: 3.980 13.106 3.212 Å, 90.00 101.07 90.00°
Space group C2 (No. 5)
Inequivalent atoms, fractional coordinates:
Zn (0.000, 0.000, 0.000)
Cd (0.000, 0.684, 0.500)
Te (0.000, 0.356, 0.000)
O (0.000, 0.088, 0.500)

=====

Record 10
Er2SnPd: simulated powder XRD pattern (Cu Kα (weighted mean of Kα1 and Kα2)), based on a GGA-PBE-relaxed structure.
No peak broadening, texture or thermal motion is included.

Top 10 peaks for 2θ from 5° to 70°, most intense first:
(hkl), 2θ/deg, Rel. int.
0 1 2, 31.53, 1000
1 1 -2, 31.12, 855
2 0 0, 31.71, 596
2 1 -2, 38.26, 590
0 2 0, 41.19, 525
1 1 2, 39.29, 498
2 1 0, 37.93, 450
2 2 0, 52.92, 381
1 0 -4, 45.43, 342
1 2 -4, 62.98, 260

Atomic structure:
Cell: 6.057 4.383 7.991 Å, 90.00 111.30 90.00°
Space group P2_1/m (No. 11)
Inequivalent atoms, fractional coordinates:
Er (0.203, 0.250, 0.444)
Er (0.229, 0.250, 0.906)
Sn (0.320, 0.750, 0.207)
Pd (0.342, 0.750, 0.705)

=====

Record 11
TaTeBr9: simulated powder XRD pattern (Cu Kα (weighted mean of Kα1 and Kα2)), based on a GGA-PBE-relaxed structure.
No peak broadening, texture or thermal motion is included.

Top 10 peaks for 2θ from 5° to 70°, most intense first:
(hkl), 2θ/deg, Rel. int.
1 1 0, 14.52, 1000
0 2 0, 14.21, 708
1 3 -2, 28.61, 534
0 1 2, 18.75, 485
1 3 1, 27.46, 477
0 1 1, 11.19, 402
1 3 -3, 33.96, 381
3 3 -1, 43.45, 381
2 0 -2, 27.08, 316
2 0 1, 28.94, 299

Atomic structure:
Cell: 7.222 12.463 10.566 Å, 90.00 104.32 90.00°
Space group P2_1/m (No. 11)
Inequivalent atoms, fractional coordinates:
Ta (0.148, 0.250, 0.148)
Te (0.257, 0.250, 0.530)
Br (0.017, 0.750, 0.356)
Br (0.052, 0.108, 0.307)
Br (0.182, 0.750, 0.986)
Br (0.261, 0.104, 0.032)
Br (0.447, 0.097, 0.663)
Br (0.481, 0.250, 0.323)

=====

Record 12
Rb3ZrCl6: simulated powder XRD pattern (Cu Kα (weighted mean of Kα1 and Kα2)), based on a GGA-PBE-relaxed structure.
No peak broadening, texture or thermal motion is included.

Top 10 peaks for 2θ from 5° to 70°, most intense first:
(hkl), 2θ/deg, Rel. int.
1 1 -3, 22.85, 1000
1 1 1, 22.40, 969
2 2 -2, 32.06, 702
3 1 -5, 40.67, 541
0 0 4, 32.37, 439
0 2 0, 21.95, 391
2 0 -2, 23.08, 375
1 3 -2, 36.28, 372
0 2 4, 39.45, 299
3 1 -1, 39.87, 279

Atomic structure:
Cell: 7.711 8.098 13.319 Å, 90.00 123.83 90.00°
Space group P2_1/c (No. 14)
Inequivalent atoms, fractional coordinates:
Rb (0.000, 0.000, 0.000)
Rb (0.284, 0.073, 0.756)
Zr (0.500, 0.000, 0.500)
Cl (0.173, 0.034, 0.285)
Cl (0.284, 0.674, 0.055)
Cl (0.398, 0.232, 0.063)